The following is a calculated powder diffraction line list of Ho2Au5F21. It was derived from a crystal structure in OQMD, relaxed with PBE, using copper Kα.

Cell and atoms:
```
data_Ho2Au5F21
_chemical_formula_sum 'Ho4 Au10 F42'
_cell_length_a 7.6071
_cell_length_b 8.5261
_cell_length_c 11.2444
_cell_angle_alpha 87.73
_cell_angle_beta 86.86
_cell_angle_gamma 86.63
_symmetry_space_group_name_H-M 'P -1'
_symmetry_Int_Tables_number 2
loop_
_symmetry_equiv_pos_as_xyz
'x,y,z'
'-x,-y,-z'
loop_
_atom_site_label
_atom_site_fract_x
_atom_site_fract_y
_atom_site_fract_z
_atom_site_occupancy
Ho1 0.1740 0.1867 0.4929 1
Ho2 0.1934 0.3110 0.0006 1
Au1 0.0657 0.9686 0.1946 1
Au2 0.0717 0.5161 0.2882 1
Au3 0.3008 0.7280 0.8907 1
Au4 0.3380 0.7590 0.6049 1
Au5 0.4522 0.7541 0.2639 1
F1 0.0000 0.0000 0.5000 1
F2 0.0000 0.5000 0.0000 1
F3 0.0031 0.8438 0.0623 1
F4 0.0504 0.7205 0.8513 1
F5 0.0864 0.4078 0.5827 1
F6 0.0908 0.7133 0.5817 1
F7 0.1043 0.1263 0.6897 1
F8 0.1137 0.3919 0.8092 1
F9 0.1540 0.1112 0.3052 1
F10 0.2383 0.0565 0.0804 1
F11 0.2420 0.4340 0.1660 1
F12 0.2455 0.7431 0.3717 1
F13 0.2476 0.4234 0.3952 1
F14 0.2762 0.9444 0.8380 1
F15 0.3069 0.7378 0.1301 1
F16 0.3319 0.9657 0.5205 1
F17 0.3552 0.2072 0.8526 1
F18 0.3564 0.5049 0.9366 1
F19 0.3714 0.5532 0.6825 1
F20 0.4060 0.2468 0.5945 1
F21 0.4289 0.1817 0.3576 1
F22 0.4580 0.2381 0.0751 1
```

Largest 8 diffraction maxima, sorted by position, 10° ≤ 2θ ≤ 90°:
d = 3.802 Å, rel. 44.5
d = 3.623 Å, rel. 44.1
d = 3.538 Å, rel. 52.8
d = 3.471 Å, rel. 100.0
d = 3.436 Å, rel. 41.5
d = 3.220 Å, rel. 39.4
d = 3.064 Å, rel. 66.7
d = 2.774 Å, rel. 34.1

The following is a calculated powder diffraction line list of Nd2GdTl2Cd4. It was derived from a crystal structure in OQMD, relaxed with PBE, using copper Kα.

Cell and atoms:
```
data_Nd2GdTl2Cd4
_chemical_formula_sum 'Nd4 Gd2 Tl4 Cd8'
_cell_length_a 4.6505
_cell_length_b 13.2385
_cell_length_c 7.7182
_cell_angle_alpha 90.00
_cell_angle_beta 90.00
_cell_angle_gamma 90.00
_symmetry_space_group_name_H-M 'A m m 2'
_symmetry_Int_Tables_number 38
loop_
_symmetry_equiv_pos_as_xyz
'x,y,z'
'-x,-y,z'
'-x,y,z'
'x,-y,z'
'x,y+1/2,z+1/2'
'-x,-y+1/2,z+1/2'
'-x,y+1/2,z+1/2'
'x,-y+1/2,z+1/2'
loop_
_atom_site_label
_atom_site_fract_x
_atom_site_fract_y
_atom_site_fract_z
_atom_site_occupancy
Nd1 0.0000 0.2112 0.0000 1
Gd1 0.0000 0.0000 0.6345 1
Tl1 0.5000 0.1646 0.7115 1
Cd1 0.0000 0.0000 0.2172 1
Cd2 0.5000 0.0000 0.9750 1
Cd3 0.5000 0.1195 0.3319 1
```

Largest 8 diffraction maxima, sorted by position, 10° ≤ 2θ ≤ 90°:
d = 2.970 Å, rel. 40.5
d = 2.957 Å, rel. 86.4
d = 2.710 Å, rel. 100.0
d = 2.696 Å, rel. 53.6
d = 2.325 Å, rel. 51.6
d = 2.221 Å, rel. 41.4
d = 2.209 Å, rel. 30.2
d = 1.705 Å, rel. 24.6

The following is a calculated powder diffraction line list of LaHoCuSi3. It was derived from a crystal structure in OQMD, relaxed with PBE, using copper Kα.

Cell and atoms:
```
data_LaHoCuSi3
_chemical_formula_sum 'La8 Ho8 Cu8 Si24'
_cell_length_a 8.0818
_cell_length_b 8.4606
_cell_length_c 13.9488
_cell_angle_alpha 90.00
_cell_angle_beta 90.00
_cell_angle_gamma 90.00
_symmetry_space_group_name_H-M 'F m m m'
_symmetry_Int_Tables_number 69
_symmetry_space_group_name_Hall '-F 2 2'
loop_
_atom_site_label
_atom_site_fract_x
_atom_site_fract_y
_atom_site_fract_z
_atom_site_occupancy
La1 0.0000 0.2438 0.0000 1
Ho1 0.2500 0.2500 0.2500 1
Cu1 0.0000 0.0000 0.3323 1
Si1 0.0000 0.0000 0.1707 1
Si2 0.2456 0.0000 0.4137 1
```

Largest 8 diffraction maxima, sorted by position, 10° ≤ 2θ ≤ 90°:
d = 3.493 Å, rel. 33.7
d = 2.694 Å, rel. 100.0
d = 2.115 Å, rel. 11.9
d = 2.015 Å, rel. 20.6
d = 1.809 Å, rel. 10.8
d = 1.616 Å, rel. 14.0
d = 1.460 Å, rel. 21.4
d = 1.259 Å, rel. 12.1